Structure and calculated X-ray diffraction stick pattern of La2TmSc (a PBE-relaxed structure; copper Kα).

Atomic structure:
Unit cell a=3.673 b=6.041 c=11.787 alpha=81.90 beta=81.04 gamma=89.99
Space group P-1 (No. 2)
Inequivalent atoms, fractional coordinates:
La: 0.067 0.363 0.364 [2 per cell]
La: 0.187 0.038 0.126 [2 per cell]
Tm: 0.442 0.147 0.618 [2 per cell]
Sc: 0.305 0.452 0.889 [2 per cell]

Peak list (10 most intense, 10° ≤ 2θ ≤ 90°, in order of rising 2θ)
- (1 -1 1), 29.08°, I = 29
- (0 2 1), 29.78°, I = 22
- (0 0 4), 31.04°, I = 48
- (1 1 -1), 31.67°, I = 100
- (1 1 3), 33.38°, I = 66
- (0 2 -2), 35.75°, I = 21
- (1 3 1), 51.84°, I = 21
- (1 1 -5), 54.49°, I = 14
- (2 0 5), 59.71°, I = 14
- (1 3 5), 60.12°, I = 22

---

Structure and calculated X-ray diffraction stick pattern of La8Tm3Sc2 (a PBE-relaxed structure; copper Kα).

Atomic structure:
Unit cell a=13.172 b=11.809 c=6.065 alpha=90.00 beta=111.96 gamma=90.00
Space group C2/m (No. 12)
Inequivalent atoms, fractional coordinates:
La: 0.056 0.000 0.292 [4 per cell]
La: 0.146 0.500 0.594 [4 per cell]
La: 0.164 0.256 0.148 [8 per cell]
Tm: 0.000 0.244 0.500 [4 per cell]
Tm: 0.000 0.500 0.000 [2 per cell]
Sc: 0.201 0.000 0.843 [4 per cell]

Peak list (10 most intense, 10° ≤ 2θ ≤ 90°, in order of rising 2θ)
- (2 0 1), 25.22°, I = 17
- (2 2 1), 29.47°, I = 45
- (2 0 -2), 29.58°, I = 20
- (0 4 0), 30.27°, I = 57
- (1 1 -2), 30.78°, I = 24
- (4 2 -1), 31.50°, I = 100
- (3 1 1), 32.50°, I = 21
- (2 2 -2), 33.33°, I = 19
- (2 4 -2), 42.84°, I = 14
- (4 6 -1), 54.55°, I = 25

---

Structure and calculated X-ray diffraction stick pattern of La4Tm2Sc (a PBE-relaxed structure; copper Kα).

Atomic structure:
Unit cell a=6.225 b=8.002 c=9.555 alpha=89.90 beta=89.83 gamma=75.29
Space group P1 (No. 1)
Inequivalent atoms, fractional coordinates:
La: 0.000 0.000 0.000 [1 per cell]
La: 0.005 0.499 0.507 [1 per cell]
La: 0.295 0.135 0.295 [1 per cell]
La: 0.428 0.216 0.936 [1 per cell]
La: 0.573 0.774 0.078 [1 per cell]
La: 0.581 0.287 0.581 [1 per cell]
La: 0.713 0.846 0.719 [1 per cell]
La: 0.863 0.921 0.364 [1 per cell]
Tm: 0.146 0.565 0.147 [1 per cell]
Tm: 0.150 0.064 0.650 [1 per cell]
Tm: 0.289 0.638 0.790 [1 per cell]
Tm: 0.717 0.359 0.219 [1 per cell]
Sc: 0.429 0.707 0.433 [1 per cell]
Sc: 0.865 0.426 0.865 [1 per cell]

Peak list (10 most intense, 10° ≤ 2θ ≤ 90°, in order of rising 2θ)
- (0 1 3), 30.34°, I = 34
- (2 1 1), 30.48°, I = 100
- (1 -1 3), 35.17°, I = 23
- (2 0 -2), 35.28°, I = 22
- (1 3 1), 35.45°, I = 22
- (3 -1 1), 50.66°, I = 24
- (3 3 -1), 50.96°, I = 16
- (-3 2 2), 60.30°, I = 14
- (4 1 -1), 60.41°, I = 14
- (5 0 2), 82.59°, I = 10

---

Structure and calculated X-ray diffraction stick pattern of La8Tm6Sc (a PBE-relaxed structure; copper Kα).

Atomic structure:
Unit cell a=9.3356 b=9.3356 c=6.6316 alpha=90.00 beta=90.00 gamma=120.00
Space group P-3 (No. 147)
Inequivalent atoms, fractional coordinates:
La: 0.0478 0.2884 0.3253 [6 per cell]
La: 0.3333 0.6667 0.3761 [2 per cell]
Tm: 0.1003 0.4392 0.8476 [6 per cell]
Sc: 0.0000 0.0000 0.0000 [1 per cell]

Peak list (10 most intense, 10° ≤ 2θ ≤ 90°, in order of rising 2θ)
- (2 0 1), 25.81°, I = 14
- (0 1 2), 29.11°, I = 28
- (2 1 0), 29.23°, I = 42
- (3 -2 1), 32.26°, I = 100
- (1 1 2), 33.14°, I = 51
- (3 0 0), 33.24°, I = 12
- (4 -3 2), 49.05°, I = 12
- (3 2 1), 51.14°, I = 14
- (1 4 0), 51.82°, I = 13
- (0 4 2), 53.06°, I = 12

---

Structure and calculated X-ray diffraction stick pattern of LaTm3Sc7 (a PBE-relaxed structure; copper Kα).

Atomic structure:
Unit cell a=5.457 b=10.488 c=10.734 alpha=90.00 beta=90.00 gamma=90.00
Space group Immm (No. 71)
Inequivalent atoms, fractional coordinates:
La: 0.000 0.000 0.000 [2 per cell]
Tm: 0.000 0.207 0.500 [4 per cell]
Tm: 0.000 0.500 0.000 [2 per cell]
Sc: 0.000 0.000 0.293 [4 per cell]
Sc: 0.000 0.312 0.220 [8 per cell]
Sc: 0.000 0.500 0.500 [2 per cell]

Peak list (10 most intense, 10° ≤ 2θ ≤ 90°, in order of rising 2θ)
- (0 0 2), 16.52°, I = 50
- (1 2 1), 24.97°, I = 100
- (2 0 0), 32.82°, I = 46
- (0 0 4), 33.39°, I = 36
- (0 4 0), 34.20°, I = 16
- (1 2 3), 34.51°, I = 82
- (1 3 2), 34.76°, I = 53
- (2 0 4), 47.53°, I = 26
- (3 2 3), 59.69°, I = 17
- (2 4 4), 59.85°, I = 21

---

Structure and calculated X-ray diffraction stick pattern of LaTm2ZrSc4 (a PBE-relaxed structure; copper Kα).

Atomic structure:
Unit cell a=5.443 b=5.443 c=7.269 alpha=90.00 beta=90.00 gamma=90.00
Space group P4/mmm (No. 123)
Inequivalent atoms, fractional coordinates:
La: 0.000 0.000 0.000 [1 per cell]
Tm: 0.000 0.000 0.500 [1 per cell]
Tm: 0.500 0.500 0.000 [1 per cell]
Zr: 0.500 0.500 0.500 [1 per cell]
Sc: 0.000 0.500 0.270 [4 per cell]

Peak list (10 most intense, 10° ≤ 2θ ≤ 90°, in order of rising 2θ)
- (1 1 0), 23.11°, I = 35
- (0 0 2), 24.49°, I = 16
- (2 0 0), 32.91°, I = 55
- (1 1 2), 33.93°, I = 100
- (2 0 2), 41.45°, I = 16
- (2 2 0), 47.24°, I = 20
- (3 1 2), 59.42°, I = 38
- (2 0 4), 61.34°, I = 17
- (2 2 4), 71.39°, I = 11
- (4 2 0), 78.61°, I = 8